# NaLiMn2Fe4P6O24
Simulated PXRD pattern, Cu Kα X-rays. Input: a GGA+U-relaxed structure.
Lines closer than 0.1° are merged.

Top 6 peaks for 10 to 80 degrees two-theta, by intensity:
- hkl 0 1 -1, 14.09°, I 100
- hkl 0 1 1, 15.97°, I 52
- hkl 0 2 2, 32.27°, I 38
- hkl 0 1 -3, 32.70°, I 36
- hkl 0 3 -1, 32.80°, I 36
- hkl 2 -1 0, 28.94°, I 32

Cell and atoms:
```
data_NaLiMn2Fe4P6O24
_space_group_name_H-M_alt 'P 1'
_space_group_IT_number 1
_cell_length_a 6.4623
_cell_length_b 8.7068
_cell_length_c 8.7789
_cell_angle_alpha 91.93
_cell_angle_beta 106.93
_cell_angle_gamma 106.00
loop_
_space_group_symop_operation_xyz
'x,y,z'
loop_
_atom_site_label
_atom_site_fract_x
_atom_site_fract_y
_atom_site_fract_z
Na1 0.0000 0.0000 0.0000
Li1 0.0439 0.4660 0.5366
Mn1 0.2482 0.7672 0.2283
Mn2 0.7473 0.2322 0.7768
Fe1 0.1300 0.8749 0.5674
Fe2 0.3660 0.4333 0.1264
Fe3 0.6332 0.5668 0.8777
Fe4 0.8577 0.1172 0.4296
P1 0.1264 0.6349 0.8514
P2 0.2454 0.2177 0.7825
P3 0.3625 0.1465 0.3643
P4 0.6310 0.8515 0.6372
P5 0.7487 0.7838 0.2160
P6 0.8735 0.3663 0.1552
O1 0.0357 0.2538 0.6584
O2 0.1022 0.4988 0.1685
O3 0.1107 0.6744 0.6762
O4 0.1677 0.7787 0.9693
O5 0.1781 0.0972 0.4533
O6 0.2259 0.2456 0.9520
O7 0.2439 0.0417 0.7548
O8 0.3046 0.0167 0.2255
O9 0.3210 0.5531 0.9064
O10 0.3687 0.3126 0.3069
O11 0.3946 0.8352 0.5115
O12 0.4674 0.3335 0.7648
O13 0.5299 0.6668 0.2364
O14 0.5989 0.1627 0.4902
O15 0.6237 0.6852 0.6945
O16 0.6770 0.4463 0.0990
O17 0.6922 0.9825 0.7754
O18 0.7407 0.9584 0.2404
O19 0.7662 0.7554 0.0458
O20 0.8134 0.9002 0.5460
O21 0.8323 0.2235 0.0356
O22 0.8922 0.3222 0.3294
O23 0.8971 0.5029 0.8375
O24 0.9651 0.7580 0.3375
```